Simulated powder diffraction line list of ErCrB4 for CuKα, from a cell relaxed with PBE.
Lines closer than 0.1° are merged.

Structural model:
a = 5.8890 Å, b = 11.3788 Å, c = 3.4109 Å
α = 90.00°, β = 90.00°, γ = 90.00°
Space group Pbam (No. 55)
Asymmetric unit:
Er (0.1248, 0.1507, 0.0000) [4 per cell]
Cr (0.1246, 0.4188, 0.0000) [4 per cell]
B (0.0248, 0.6919, 0.5000) [4 per cell]
B (0.1136, 0.5470, 0.5000) [4 per cell]
B (0.1367, 0.9675, 0.5000) [4 per cell]
B (0.2184, 0.8156, 0.5000) [4 per cell]

Largest 8 diffraction maxima, by intensity, 2θ from 10° to 80°:
- 41.3°, rel. 100, (2 1 1)
- 26.1°, rel. 68, (0 0 1)
- 31.4°, rel. 65, (2 1 0)
- 38.7°, rel. 53, (1 3 1)
- 28.0°, rel. 38, (1 3 0)
- 21.7°, rel. 32, (1 2 0)
- 34.2°, rel. 27, (1 2 1)
- 31.4°, rel. 27, (0 4 0)



Simulated powder diffraction line list of HoMgRh2 for CuKα, from a cell relaxed with PBE.
Lines closer than 0.1° are merged.

Structural model:
a = 6.5636 Å, b = 6.5636 Å, c = 6.5636 Å
α = 90.00°, β = 90.00°, γ = 90.00°
Space group Fm-3m (No. 225)
Asymmetric unit:
Ho (0.0000, 0.0000, 0.0000) [4 per cell]
Mg (0.0000, 0.0000, 0.5000) [4 per cell]
Rh (0.2500, 0.2500, 0.2500) [8 per cell]

Largest 7 diffraction maxima, by intensity, 2θ from 10° to 80°:
- 38.8°, rel. 100, (2 2 0)
- 70.3°, rel. 34, (4 2 2)
- 23.5°, rel. 29, (1 1 1)
- 56.0°, rel. 17, (4 0 0)
- 45.9°, rel. 15, (3 1 1)
- 61.6°, rel. 6, (3 3 1)
- 75.2°, rel. 5, (5 1 1)



Simulated powder diffraction line list of Dy3S2Cl5 for CuKα, from a cell relaxed with PBE.
Lines closer than 0.1° are merged.

Structural model:
a = 6.8162 Å, b = 21.8145 Å, c = 6.3870 Å
α = 90.00°, β = 90.00°, γ = 90.00°
Space group Pnma (No. 62)
Asymmetric unit:
Dy (0.0375, 0.2500, 0.0504) [4 per cell]
Dy (0.1200, 0.0981, 0.4509) [8 per cell]
S (0.1714, 0.6723, 0.6917) [8 per cell]
Cl (0.0387, 0.6174, 0.1651) [8 per cell]
Cl (0.1676, 0.5202, 0.6767) [8 per cell]
Cl (0.1824, 0.2500, 0.6545) [4 per cell]

Largest 8 diffraction maxima, by intensity, 2θ from 10° to 80°:
- 20.7°, rel. 100, (1 2 1)
- 25.1°, rel. 93, (1 4 1)
- 22.7°, rel. 78, (1 3 1)
- 33.3°, rel. 61, (1 3 2)
- 24.5°, rel. 47, (0 6 0)
- 39.2°, rel. 44, (2 7 0)
- 38.9°, rel. 40, (2 1 2)
- 37.5°, rel. 38, (0 6 2)



Simulated powder diffraction line list of AlCu3 for CuKα, from a cell relaxed with PBE.
Lines closer than 0.1° are merged.

Structural model:
a = 4.2399 Å, b = 5.1815 Å, c = 4.5143 Å
α = 90.00°, β = 90.00°, γ = 90.00°
Space group Pmmn (No. 59, origin choice 2)
Asymmetric unit:
Al (0.2500, 0.2500, 0.1666) [2 per cell]
Cu (0.2500, 0.5010, 0.6657) [4 per cell]
Cu (0.2500, 0.7500, 0.1676) [2 per cell]

Largest 8 diffraction maxima, by intensity, 2θ from 10° to 80°:
- 45.7°, rel. 100, (1 2 1)
- 45.5°, rel. 51, (1 0 2)
- 42.6°, rel. 41, (2 0 0)
- 40.1°, rel. 25, (0 2 1)
- 72.7°, rel. 15, (0 2 3)
- 60.0°, rel. 14, (2 2 1)
- 39.9°, rel. 12, (0 0 2)
- 27.2°, rel. 9, (1 1 0)



Simulated powder diffraction line list of ThN for CuKα, from a cell relaxed with PBE.
Lines closer than 0.1° are merged.

Structural model:
a = 5.1758 Å, b = 5.1758 Å, c = 5.1758 Å
α = 90.00°, β = 90.00°, γ = 90.00°
Space group Fm-3m (No. 225)
Asymmetric unit:
Th (0.0000, 0.0000, 0.0000) [4 per cell]
N (0.0000, 0.0000, 0.5000) [4 per cell]

Largest 6 diffraction maxima, by intensity, 2θ from 10° to 80°:
- 29.9°, rel. 100, (1 1 1)
- 34.7°, rel. 66, (2 0 0)
- 49.8°, rel. 48, (2 2 0)
- 59.2°, rel. 47, (3 1 1)
- 62.1°, rel. 16, (2 2 2)
- 73.1°, rel. 8, (4 0 0)